No. 1
This entry pairs a crystal structure of Ac16Pt5Rh3 with its theoretical powder XRD pattern. Radiation: Cu Kα X-rays. Structure: DFT lattice parameters and positions (PBE).

Peak list (10 most intense, 2θ from 5° to 70°, sorted by position)
hkl 2 0 -1, 13.29°, 6.661 Å, rel. 20; hkl 0 0 4, 25.26°, 3.525 Å, rel. 14; hkl 2 2 -2, 26.77°, 3.330 Å, rel. 100; hkl 4 0 3, 30.35°, 2.945 Å, rel. 53; hkl 4 0 -4, 34.80°, 2.578 Å, rel. 17; hkl 4 0 -5, 39.89°, 2.260 Å, rel. 30; hkl 6 2 0, 41.35°, 2.184 Å, rel. 34; hkl 0 4 0, 41.47°, 2.177 Å, rel. 17; hkl 2 2 6, 45.45°, 1.996 Å, rel. 22; hkl 0 4 8, 68.43°, 1.371 Å, rel. 22

Structural model:
a b c (Å): 15.144 8.710 14.102
angles (deg): 90.00 90.00 90.00
Space group Cm (No. 8)
One atom of each set of equivalent atoms:
Ac1 0.000 0.000 0.000
Ac2 0.001 0.000 0.502
Ac3 0.007 0.500 0.494
Ac4 0.081 0.241 0.238
Ac5 0.158 0.000 0.737
Ac6 0.160 0.500 0.734
Ac7 0.240 0.262 0.495
Ac8 0.249 0.234 0.992
Ac9 0.325 0.000 0.235
Ac10 0.333 0.500 0.240
Ac11 0.420 0.253 0.738
Ac12 0.488 0.000 0.993
Pt1 0.164 0.500 0.359
Pt2 0.331 0.000 0.858
Pt3 0.331 0.500 0.619
Pt4 0.413 0.250 0.118
Rh1 0.081 0.251 0.617
Rh2 0.164 0.000 0.115

---

No. 2
This entry pairs a crystal structure of Ac2SbPtRh6 with its theoretical powder XRD pattern. Radiation: Cu Kα X-rays. Structure: DFT lattice parameters and positions (PBE).

Peak list (10 most intense, 2θ from 5° to 70°, sorted by position)
hkl 1 2 1, 27.76°, 3.214 Å, rel. 27; hkl 1 0 2, 28.19°, 3.166 Å, rel. 91; hkl 1 2 0, 28.36°, 3.147 Å, rel. 100; hkl 2 0 0, 38.68°, 2.328 Å, rel. 100; hkl 2 2 0, 39.28°, 2.293 Å, rel. 54; hkl 0 2 2, 39.81°, 2.264 Å, rel. 81; hkl 1 1 3, 39.92°, 2.258 Å, rel. 32; hkl 1 -2 0, 40.29°, 2.238 Å, rel. 76; hkl 0 2 -2, 42.09°, 2.147 Å, rel. 72; hkl 2 -2 2, 58.68°, 1.573 Å, rel. 31

Structural model:
a b c (Å): 5.425 6.770 6.839
angles (deg): 78.26 66.71 66.44
Space group P-1 (No. 2)
One atom of each set of equivalent atoms:
Ac1 0.029 0.235 0.206
Sb1 0.500 0.000 0.500
Pt1 0.500 0.500 0.000
Rh1 0.000 0.241 0.750
Rh2 0.320 0.434 0.431
Rh3 0.490 0.762 0.248